1.
For Bi3Se2ClO8, DFT lattice parameters and positions (GGA-PBE) gives the simulated powder X-ray diffraction pattern in this record (Cu Ka).
Lines closer than 0.1° are merged.

Largest 10 diffraction maxima, by angle, 10 to 90 degrees two-theta:
(hkl)  2θ (°)  Rel. int.
0 0 1  10.03  100
1 0 1  15.55  71
0 2 0  16.29  28
0 2 2  25.97  78
2 2 0  29.00  37
2 2 1  30.76  63
2 0 2  31.39  31
0 2 3  34.68  30
2 4 2  46.13  32
2 2 4  50.94  28

Structural model:
Cell lengths 7.468, 10.881, 8.819 Å; angles 90.00, 90.00, 90.00 degrees
Space group Pmmn (No. 59, origin choice 2)
Asymmetric unit:
Bi: 0.000 0.000 0.000
Bi: 0.250 0.250 0.225
Se: 0.250 0.563 0.354
Cl: 0.250 0.750 0.892
O: 0.064 0.577 0.236
O: 0.250 0.093 0.399
O: 0.250 0.114 0.031

=====

2.
For BiSeClO3, DFT lattice parameters and positions (GGA-PBE) gives the simulated powder X-ray diffraction pattern in this record (Cu Ka).
Lines closer than 0.1° are merged.

Largest 10 diffraction maxima, by angle, 10 to 90 degrees two-theta:
(hkl)  2θ (°)  Rel. int.
1 0 1  16.54  100
1 0 2  24.00  16
1 2 0  25.87  18
1 1 2  26.48  58
1 2 1  27.77  47
2 1 1  30.57  13
0 1 3  32.18  22
2 2 0  34.87  29
2 1 3  42.20  20
1 1 4  44.37  16

Structural model:
Cell lengths 6.712, 8.026, 8.896 Å; angles 90.00, 90.00, 90.00 degrees
Space group P2_12_12_1 (No. 19)
Asymmetric unit:
Bi: 0.038 0.203 0.321
Se: 0.163 0.085 0.955
Cl: 0.244 0.497 0.345
O: 0.112 0.900 0.357
O: 0.179 0.868 0.975
O: 0.243 0.156 0.128

=====

3.
For BiSeClO3, DFT lattice parameters and positions (GGA-PBE) gives the simulated powder X-ray diffraction pattern in this record (Cu Ka).
Lines closer than 0.1° are merged.

Largest 10 diffraction maxima, by angle, 10 to 90 degrees two-theta:
(hkl)  2θ (°)  Rel. int.
2 0 0  14.31  46
2 0 1  19.38  54
0 1 1  20.93  100
2 1 1  25.45  63
2 0 2  29.96  40
4 0 1  31.75  38
1 1 2  31.87  39
0 2 0  33.01  43
4 1 0  33.32  44
2 1 2  34.31  39

Structural model:
Cell lengths 12.383, 5.428, 6.806 Å; angles 90.00, 90.00, 90.00 degrees
Space group Pnma (No. 62)
Asymmetric unit:
Bi: 0.048 0.250 0.204
Se: 0.205 0.750 0.009
Cl: 0.059 0.750 0.395
O: 0.112 0.513 0.960
O: 0.228 0.250 0.288